[1]
# Y4Er4In
Calculated powder diffractogram, CuKα. Input: DFT lattice parameters and positions (PBE).
Neutral-atom scattering factors, no anomalous dispersion.

The 10 most intense peaks (2θ = 10–90°), sorted by position:
2θ (°)  d [Å]  I/Imax
31.3  2.857  100
35.8  2.508  35
37.3  2.410  16
51.5  1.774  12
52.7  1.738  23
61.5  1.507  28
63.6  1.463  13
65.3  1.428  12
84.3  1.148  6
86.2  1.129  11

Structure:
Cell lengths 10.641, 10.641, 4.820 Å; angles 90.00, 90.00, 90.00 degrees
Space group I4/mmm (No. 139)
Unique sites:
Y: 0.161 0.161 0.000 x8
Er: 0.000 0.337 0.500 x8
In: 0.000 0.000 0.500 x2

[2]
# Y2Er3In
Calculated powder diffractogram, CuKα. Input: DFT lattice parameters and positions (PBE).
Neutral-atom scattering factors, no anomalous dispersion.

The 10 most intense peaks (2θ = 10–90°), sorted by position:
2θ (°)  d [Å]  I/Imax
31.6  2.829  100
35.9  2.499  18
36.9  2.436  17
37.2  2.416  16
52.5  1.744  12
52.7  1.737  12
61.9  1.499  14
63.2  1.471  14
63.6  1.462  13
66.1  1.414  12

Structure:
Cell lengths 4.832, 14.993, 4.872 Å; angles 90.00, 90.00, 90.00 degrees
Space group Cmmm (No. 65)
Unique sites:
Y: 0.000 0.161 0.000 x4
Er: 0.000 0.000 0.500 x2
Er: 0.000 0.332 0.500 x4
In: 0.000 0.500 0.000 x2